# Er3As
Theoretical powder diffraction line list, Cu Kα, 1.54184 Å. Input: a GGA-PBE-relaxed structure.
Peak positions follow from Bragg's law for the DFT cell and can differ from measured ones.

Atomic structure:
Cell lengths 4.600, 4.600, 4.600 Å; angles 90.00, 90.00, 90.00 degrees
Atoms (fractional coordinates):
1 Er 0.000 0.000 0.500
2 Er 0.000 0.500 0.000
3 Er 0.500 0.000 0.000
4 As 0.500 0.500 0.500

The 12 most intense peaks (15 to 90 degrees two-theta), sorted by position:
2θ (°)  I (rel.)  h k l
19.3  7  1 0 0
27.4  6  1 1 0
33.7  100  1 1 1
39.2  50  2 0 0
44.0  3  2 1 0
48.5  3  2 1 1
56.6  34  2 2 0
60.4  2  3 0 0
67.5  40  3 1 1
71.0  12  2 2 2
77.7  1  3 2 1
84.2  6  4 0 0